# 1
This entry pairs a crystal structure of NaAlH8N4 with its calculated X-ray powder pattern. Radiation: Cu Kα, 1.54184 Å. Structure: a PBE-relaxed structure.
Kinematic intensities with the Lorentz-polarization factor, no thermal factor.

Principal peaks in the range 2θ = 10–90°, most intense first:
- d = 3.505 Å, 2θ 25.41, I 100, (1 1 2)
- d = 5.111 Å, 2θ 17.35, I 73, (1 1 -1)
- d = 5.037 Å, 2θ 17.61, I 61, (1 0 -2)
- d = 3.245 Å, 2θ 27.49, I 48, (1 1 -3)
- d = 6.064 Å, 2θ 14.61, I 39, (0 1 1)
- d = 4.474 Å, 2θ 19.84, I 37, (1 1 1)
- d = 2.651 Å, 2θ 33.81, I 29, (2 2 0)
- d = 3.208 Å, 2θ 27.81, I 24, (2 1 -2)
- d = 2.555 Å, 2θ 35.12, I 22, (2 2 -2)
- d = 2.379 Å, 2θ 37.81, I 21, (1 0 4)
- d = 2.052 Å, 2θ 44.15, I 19, (3 1 -4)
- d = 2.680 Å, 2θ 33.43, I 17, (2 2 -1)

Crystal structure
```
data_NaAlH8N4
_chemical_formula_sum 'Na4 Al4 H32 N16'
_cell_length_a 7.924
_cell_length_b 7.321
_cell_length_c 11.155
_cell_angle_alpha 90.00
_cell_angle_beta 104.04
_cell_angle_gamma 90.00
_symmetry_space_group_name_H-M 'P 1 21/c 1'
_symmetry_Int_Tables_number 14
loop_
_symmetry_equiv_pos_as_xyz
'x,y,z'
'-x,-y,-z'
'-x,y+1/2,-z+1/2'
'x,-y+1/2,z+1/2'
loop_
_atom_site_label
_atom_site_type_symbol
_atom_site_fract_x
_atom_site_fract_y
_atom_site_fract_z
Na1 Na 0.248 0.207 0.235
Al1 Al 0.420 0.019 0.606
H1 H 0.017 0.647 0.981
H2 H 0.064 0.662 0.048
H3 H 0.089 0.080 0.937
H4 H 0.211 0.665 0.462
H5 H 0.238 0.566 0.873
H6 H 0.323 0.220 0.559
H7 H 0.328 0.637 0.355
H8 H 0.426 0.643 0.507
N1 N 0.062 0.119 0.837
N2 N 0.074 0.556 0.726
N3 N 0.327 0.698 0.439
N4 N 0.354 0.605 0.937
```

# 2
This entry pairs a crystal structure of LiMg14BO15 with its calculated X-ray powder pattern. Radiation: Cu Kα, 1.54184 Å. Structure: a PBE-relaxed structure.
Kinematic intensities with the Lorentz-polarization factor, no thermal factor.

Principal peaks in the range 2θ = 10–90°, most intense first:
- d = 2.144 Å, 2θ 42.15, I 100, (2 0 0)
- d = 1.500 Å, 2θ 61.84, I 46, (2 4 0)
- d = 2.100 Å, 2θ 43.07, I 40, (0 4 0)
- d = 1.516 Å, 2θ 61.12, I 27, (2 0 4)
- d = 1.229 Å, 2θ 77.68, I 20, (2 4 4)
- d = 2.459 Å, 2θ 36.55, I 16, (1 2 2)
- d = 8.401 Å, 2θ 10.53, I 10, (0 1 0)
- d = 1.290 Å, 2θ 73.37, I 7, (3 2 2)
- d = 2.662 Å, 2θ 33.67, I 4, (0 3 1)
- d = 1.271 Å, 2θ 74.67, I 4, (1 6 2)
- d = 3.488 Å, 2θ 25.54, I 3, (1 1 1)
- d = 4.287 Å, 2θ 20.72, I 3, (1 0 0)

Crystal structure
```
data_LiMg14BO15
_chemical_formula_sum 'Li1 Mg14 B1 O15'
_cell_length_a 4.286
_cell_length_b 8.401
_cell_length_c 8.581
_cell_angle_alpha 90.00
_cell_angle_beta 90.00
_cell_angle_gamma 90.00
_symmetry_space_group_name_H-M 'P m m 2'
_symmetry_Int_Tables_number 25
loop_
_symmetry_equiv_pos_as_xyz
'x,y,z'
'-x,-y,z'
'-x,y,z'
'x,-y,z'
loop_
_atom_site_label
_atom_site_type_symbol
_atom_site_fract_x
_atom_site_fract_y
_atom_site_fract_z
Li1 Li 0.000 0.000 0.000
Mg1 Mg 0.000 0.000 0.500
Mg2 Mg 0.000 0.243 0.234
Mg3 Mg 0.000 0.265 0.748
Mg4 Mg 0.000 0.500 0.993
Mg5 Mg 0.500 0.000 0.239
Mg6 Mg 0.500 0.000 0.745
Mg7 Mg 0.500 0.244 0.991
Mg8 Mg 0.500 0.265 0.491
Mg9 Mg 0.500 0.500 0.241
Mg10 Mg 0.500 0.500 0.737
B1 B 0.000 0.500 0.432
O1 O 0.000 0.000 0.265
O2 O 0.000 0.254 0.996
O3 O 0.000 0.329 0.483
O4 O 0.000 0.500 0.259
O5 O 0.000 0.500 0.764
O6 O 0.500 0.000 0.491
O7 O 0.500 0.000 0.989
O8 O 0.500 0.249 0.244
O9 O 0.500 0.252 0.737
O10 O 0.500 0.500 0.002
O11 O 0.500 0.500 0.479
```

# 3
This entry pairs a crystal structure of Pr2SmS4 with its calculated X-ray powder pattern. Radiation: Cu Kα, 1.54184 Å. Structure: a PBE-relaxed structure.
Kinematic intensities with the Lorentz-polarization factor, no thermal factor.

Principal peaks in the range 2θ = 10–90°, most intense first:
- d = 3.507 Å, 2θ 25.40, I 100, (2 1 1)
- d = 2.713 Å, 2θ 33.01, I 62, (3 0 1)
- d = 2.297 Å, 2θ 39.22, I 39, (3 1 2)
- d = 2.723 Å, 2θ 32.89, I 32, (1 0 3)
- d = 1.919 Å, 2θ 47.37, I 26, (4 2 0)
- d = 1.832 Å, 2θ 49.79, I 26, (3 3 2)
- d = 1.392 Å, 2θ 67.25, I 24, (6 1 1)
- d = 1.683 Å, 2θ 54.51, I 21, (4 1 3)
- d = 2.293 Å, 2θ 39.29, I 19, (3 2 1)
- d = 1.168 Å, 2θ 82.63, I 16, (7 1 2)
- d = 1.925 Å, 2θ 47.22, I 13, (2 0 4)
- d = 1.396 Å, 2θ 67.03, I 12, (1 1 6)

Crystal structure
```
data_Pr2SmS4
_chemical_formula_sum 'Pr8 Sm4 S16'
_cell_length_a 8.578
_cell_length_b 8.578
_cell_length_c 8.616
_cell_angle_alpha 90.00
_cell_angle_beta 90.00
_cell_angle_gamma 90.00
_symmetry_space_group_name_H-M 'I -4 2 d'
_symmetry_Int_Tables_number 122
_symmetry_space_group_name_Hall 'I -4 2bw'
loop_
_atom_site_label
_atom_site_type_symbol
_atom_site_fract_x
_atom_site_fract_y
_atom_site_fract_z
Pr1 Pr 0.124 0.750 0.125
Sm1 Sm 0.000 0.000 0.500
S1 S 0.074 0.677 0.452
```

# 4
This entry pairs a crystal structure of NaAlCO5 with its calculated X-ray powder pattern. Radiation: Cu Kα, 1.54184 Å. Structure: a PBE-relaxed structure.
Kinematic intensities with the Lorentz-polarization factor, no thermal factor.

Principal peaks in the range 2θ = 10–90°, most intense first:
- d = 5.852 Å, 2θ 15.14, I 100, (0 1 1)
- d = 2.890 Å, 2θ 30.95, I 50, (1 2 1)
- d = 1.797 Å, 2θ 50.81, I 17, (2 3 1)
- d = 3.497 Å, 2θ 25.47, I 16, (0 2 0)
- d = 2.672 Å, 2θ 33.53, I 14, (0 0 4)
- d = 2.045 Å, 2θ 44.30, I 13, (0 1 5)
- d = 2.244 Å, 2θ 40.19, I 13, (2 2 0)
- d = 1.718 Å, 2θ 53.31, I 11, (2 2 4)
- d = 2.616 Å, 2θ 34.27, I 9, (2 1 1)
- d = 2.008 Å, 2θ 45.15, I 7, (1 0 5)
- d = 2.296 Å, 2θ 39.24, I 6, (1 2 3)
- d = 1.445 Å, 2θ 64.49, I 6, (2 4 2)

Crystal structure
```
data_NaAlCO5
_chemical_formula_sum 'Na4 Al4 C4 O20'
_cell_length_a 5.850
_cell_length_b 6.994
_cell_length_c 10.690
_cell_angle_alpha 90.00
_cell_angle_beta 90.00
_cell_angle_gamma 90.00
_symmetry_space_group_name_H-M 'I m m a'
_symmetry_Int_Tables_number 74
_symmetry_space_group_name_Hall '-I 2b 2'
loop_
_atom_site_label
_atom_site_type_symbol
_atom_site_fract_x
_atom_site_fract_y
_atom_site_fract_z
Na1 Na 0.000 0.000 0.000
Al1 Al 0.250 0.250 0.250
C1 C 0.000 0.250 0.494
O1 O 0.000 0.093 0.221
O2 O 0.000 0.250 0.613
O3 O 0.196 0.250 0.438
```